# Ba2Ca2Tl2W3O10
Theoretical powder X-ray diffraction pattern, λ = 1.5418 Å (Cu Kα). Input: a cell relaxed with GGA+U.
Neutral-atom scattering factors, no anomalous dispersion.

```
Ba2Ca2Tl2W3O10
1.0
2.9015 -19.6215 0.0000
2.9015 19.6215 0.0000
-2.8113 0.0000 2.9049
Ba Ca Tl W O
2 2 2 3 10
direct
0.1612 0.8388 0.0000 Ba
0.8388 0.1612 0.0000 Ba
0.0272 0.9306 0.9766 Ca
0.9306 0.0272 0.9766 Ca
0.3928 0.8395 0.1181 Tl
0.8395 0.3928 0.1181 Tl
0.3850 0.5657 0.9733 W
0.4816 0.4816 0.9795 W
0.5657 0.3850 0.9733 W
0.0289 0.4631 0.2494 O
0.0522 0.8896 0.4687 O
0.2932 0.5719 0.9305 O
0.3973 0.5557 0.4745 O
0.4631 0.0289 0.2494 O
0.4845 0.4845 0.4824 O
0.5557 0.3973 0.4745 O
0.5719 0.2932 0.9305 O
0.8896 0.0522 0.4687 O
0.9829 0.9829 0.4808 O
```

Principal peaks in the range 2θ from 10° to 90°, by intensity:
Position (°2θ)  I_rel
30.81  100
30.15  85
29.64  78
27.22  42
44.85  33
54.68  28
26.64  27
53.75  23
48.60  22
22.11  21
21.43  21
52.00  18